Starting from a structure optimized by DFT (GGA-PBE), the XRD peak list of U8CrSe17 was computed for Cu Kα (λ = 1.5418 Å).
Intensities are scaled so that the largest is 100.

Top 10 peaks for 2θ from 15° to 90°, low angle first:
2θ/deg  d (Å)  Rel. int.
23.3  3.821  52
24.2  3.671  100
24.8  3.595  75
33.1  2.704  61
33.7  2.656  59
35.9  2.504  56
36.8  2.445  73
37.2  2.415  64
38.7  2.327  91
41.4  2.181  65

Structural model:
```
U8CrSe17
1.0
6.943 -4.363 0.000
6.943 4.363 0.000
-2.230 0.000 10.625
U Cr Se
8 1 17
Direct
0.182 0.698 0.797
0.203 0.203 0.957
0.302 0.818 0.203
0.319 0.319 0.483
0.681 0.681 0.517
0.698 0.182 0.797
0.797 0.797 0.043
0.818 0.302 0.203
0.000 0.000 0.500
0.000 0.000 0.000
0.055 0.678 0.527
0.058 0.058 0.727
0.179 0.567 0.035
0.213 0.213 0.223
0.300 0.300 0.744
0.322 0.945 0.473
0.433 0.821 0.965
0.478 0.478 0.332
0.522 0.522 0.668
0.567 0.179 0.035
0.678 0.055 0.527
0.700 0.700 0.256
0.787 0.787 0.777
0.821 0.433 0.965
0.942 0.942 0.273
0.945 0.322 0.473
```